# CuNi2P2O8
Computed powder diffraction line list, Cu Kα, 1.54184 Å. Input: DFT lattice parameters and positions (PBE+U).
Neutral-atom scattering factors, no anomalous dispersion.

Structural model:
a b c (Å): 4.7305 9.5785 7.9845
angles (deg): 90.00 125.84 90.00
Space group P2_1/c (No. 14)
Asymmetric unit:
Cu: 0.0000 0.0000 0.0000 (multiplicity 2)
Ni: 0.1748 0.1256 0.6482 (multiplicity 4)
P: 0.3396 0.6762 0.3503 (multiplicity 4)
O: 0.0839 0.5824 0.1600 (multiplicity 4)
O: 0.2152 0.6726 0.8253 (multiplicity 4)
O: 0.2982 0.1758 0.1149 (multiplicity 4)
O: 0.3873 0.6112 0.5461 (multiplicity 4)

The 6 most intense peaks (2θ from 10° to 90°), in order of rising 2θ:
| Position (°2θ) | I (rel.) | index |
| --- | --- | --- |
| 20.95 | 44 | 1 1 -1 |
| 23.16 | 46 | 1 0 0 |
| 23.39 | 40 | 1 0 -2 |
| 29.13 | 100 | 0 1 2 |
| 33.87 | 84 | 1 3 -1 |
| 38.05 | 49 | 2 0 -2 |